[1]
# Li7TlAg5
Computed PXRD pattern, Cu Kα (weighted mean of Kα1 and Kα2). Input: a crystal structure in Alexandria, relaxed with PBE.

Structure:
```
data_Li7TlAg5
_cell_length_a 5.5515
_cell_length_b 9.5665
_cell_length_c 9.2093
_cell_angle_alpha 90.00
_cell_angle_beta 90.00
_cell_angle_gamma 90.00
_space_group_name_H-M_alt 'I m m 2'
_space_group_IT_number 44
loop_
_space_group_symop_operation_xyz
'x,y,z'
'-x,-y,z'
'-x,y,z'
'x,-y,z'
'x+1/2,y+1/2,z+1/2'
'-x+1/2,-y+1/2,z+1/2'
'-x+1/2,y+1/2,z+1/2'
'x+1/2,-y+1/2,z+1/2'
loop_
_atom_site_label
_atom_site_fract_x
_atom_site_fract_y
_atom_site_fract_z
Li1 0.0000 0.0000 0.0000
Li2 0.0000 0.0000 0.3407
Li3 0.0000 0.3007 0.5534
Li4 0.0000 0.3468 0.0413
Li5 0.0000 0.5000 0.3150
Tl1 0.0000 0.0000 0.6498
Ag1 0.0000 0.5000 0.7675
Ag2 0.2476 0.2574 0.3016
```

Peak list (10 most intense, 2θ from 10° to 80°, most intense first)
| 2θ/deg | Rel. int. |
| --- | --- |
| 19.3 | 100 |
| 26.9 | 97 |
| 37.5 | 78 |
| 18.7 | 60 |
| 42.5 | 57 |
| 26.4 | 55 |
| 43.6 | 42 |
| 37.6 | 39 |
| 13.3 | 31 |
| 37.8 | 31 |



[2]
# Pr12Er7Tm
Computed PXRD pattern, Cu Kα (weighted mean of Kα1 and Kα2). Input: a crystal structure in Alexandria, relaxed with PBE.

Structure:
```
data_Pr12Er7Tm
_cell_length_a 19.6970
_cell_length_b 19.6970
_cell_length_c 6.2621
_cell_angle_alpha 90.00
_cell_angle_beta 90.00
_cell_angle_gamma 120.00
_space_group_name_H-M_alt 'R -3 m'
_space_group_IT_number 166
_space_group_name_Hall '-R 3 2"'
loop_
_atom_site_label
_atom_site_fract_x
_atom_site_fract_y
_atom_site_fract_z
Pr1 0.0000 0.4120 0.0000
Pr2 0.0987 0.5493 0.4670
Er1 0.0000 0.0000 0.0000
Er2 0.0810 0.1620 0.2964
Tm1 0.0000 0.0000 0.5000
```

Peak list (10 most intense, 2θ from 10° to 80°, most intense first)
| 2θ/deg | Rel. int. |
| --- | --- |
| 29.8 | 100 |
| 32.5 | 47 |
| 32.8 | 47 |
| 27.2 | 43 |
| 30.4 | 43 |
| 39.0 | 41 |
| 34.3 | 29 |
| 47.3 | 27 |
| 46.1 | 27 |
| 39.7 | 25 |



[3]
# Nd7SmEr5
Computed PXRD pattern, Cu Kα (weighted mean of Kα1 and Kα2). Input: a crystal structure in Alexandria, relaxed with PBE.

Structure:
```
data_Nd7SmEr5
_cell_length_a 6.7360
_cell_length_b 11.3713
_cell_length_c 11.7203
_cell_angle_alpha 90.00
_cell_angle_beta 90.00
_cell_angle_gamma 90.00
_space_group_name_H-M_alt 'I m m 2'
_space_group_IT_number 44
loop_
_space_group_symop_operation_xyz
'x,y,z'
'-x,-y,z'
'-x,y,z'
'x,-y,z'
'x+1/2,y+1/2,z+1/2'
'-x+1/2,-y+1/2,z+1/2'
'-x+1/2,y+1/2,z+1/2'
'x+1/2,-y+1/2,z+1/2'
loop_
_atom_site_label
_atom_site_fract_x
_atom_site_fract_y
_atom_site_fract_z
Nd1 0.0000 0.0000 0.9997
Nd2 0.0000 0.0000 0.3082
Nd3 0.0000 0.3270 0.2486
Nd4 0.0000 0.3268 0.7531
Nd5 0.0000 0.5000 0.5000
Sm1 0.0000 0.0000 0.6910
Er1 0.0000 0.5000 0.0018
Er2 0.2349 0.2310 0.5012
```

Peak list (10 most intense, 2θ from 10° to 80°, most intense first)
| 2θ/deg | Rel. int. |
| --- | --- |
| 34.5 | 100 |
| 31.1 | 82 |
| 30.8 | 70 |
| 30.5 | 66 |
| 30.6 | 44 |
| 56.8 | 39 |
| 35.1 | 33 |
| 55.6 | 30 |
| 27.0 | 28 |
| 31.5 | 26 |